# 1
Starting from the GGA-PBE geometry in Alexandria, the PXRD pattern of InSbF6 was simulated for Cu Ka.
Intensities are scaled so that the largest is 100.

Crystal structure
```
data_InSbF6
_chemical_formula_sum 'In1 Sb1 F6'
_space_group_name_H-M_alt 'P 1'
_space_group_IT_number 1
_space_group_name_Hall 'P 1'
_cell_length_a 5.5781
_cell_length_b 5.5781
_cell_length_c 5.6032
_cell_angle_alpha 114.54
_cell_angle_beta 114.54
_cell_angle_gamma 67.76
loop_
_atom_site_label
_atom_site_fract_x
_atom_site_fract_y
_atom_site_fract_z
_atom_site_occupancy
In1 0.0000 0.0000 0.0000 1
Sb1 0.5000 0.5000 0.5000 1
F1 0.1786 0.6962 0.6984 1
F2 0.2543 0.2543 0.1156 1
F3 0.3038 0.8214 0.3016 1
F4 0.6962 0.1786 0.6984 1
F5 0.7457 0.7457 0.8844 1
F6 0.8214 0.3038 0.3016 1
```

Principal peaks in the range 2θ from 5° to 70°, by angle:
2θ (°)	I/Imax
21.43	100
22.17	43
28.71	13
29.57	27
32.42	23
43.66	20
46.76	12
47.54	15
48.64	11
51.41	23

=====

# 2
Starting from the GGA-PBE geometry in Alexandria, the PXRD pattern of CsBH2 was simulated for Cu Ka.
Intensities are scaled so that the largest is 100.

Crystal structure
```
data_CsBH2
_chemical_formula_sum 'Cs2 B2 H4'
_space_group_name_H-M_alt 'P 1'
_space_group_IT_number 1
_space_group_name_Hall 'P 1'
_cell_length_a 5.7218
_cell_length_b 5.7218
_cell_length_c 5.7218
_cell_angle_alpha 127.59
_cell_angle_beta 127.59
_cell_angle_gamma 77.29
loop_
_atom_site_label
_atom_site_fract_x
_atom_site_fract_y
_atom_site_fract_z
_atom_site_occupancy
Cs1 0.3750 0.6250 0.7500 1
Cs2 0.6250 0.3750 0.2500 1
B1 0.1250 0.8750 0.2500 1
B2 0.8750 0.1250 0.7500 1
H1 0.0000 0.0000 0.0000 1
H2 0.0000 0.0000 0.5000 1
H3 0.0000 0.5000 0.0000 1
H4 0.5000 0.0000 0.5000 1
```

Principal peaks in the range 2θ from 5° to 70°, by angle:
2θ (°)	I/Imax
20.19	100
32.07	87
34.96	28
35.53	33
40.37	11
41.20	35
50.70	18
51.12	11
54.85	18
61.64	26

=====

# 3
Starting from the GGA-PBE geometry in Alexandria, the PXRD pattern of AcLaCuO4 was simulated for Cu Ka.
Intensities are scaled so that the largest is 100.

Crystal structure
```
data_AcLaCuO4
_chemical_formula_sum 'Ac1 La1 Cu1 O4'
_space_group_name_H-M_alt 'P 1'
_space_group_IT_number 1
_space_group_name_Hall 'P 1'
_cell_length_a 7.2879
_cell_length_b 7.2879
_cell_length_c 7.2879
_cell_angle_alpha 149.45
_cell_angle_beta 149.45
_cell_angle_gamma 43.74
loop_
_atom_site_label
_atom_site_fract_x
_atom_site_fract_y
_atom_site_fract_z
_atom_site_occupancy
Ac1 0.0000 0.0000 0.0000 1
La1 0.7232 0.7232 0.0000 1
Cu1 0.3536 0.3536 0.0000 1
O1 0.1800 0.1800 0.0000 1
O2 0.3575 0.8575 0.5000 1
O3 0.5493 0.5493 0.0000 1
O4 0.8575 0.3575 0.5000 1
```

Principal peaks in the range 2θ from 5° to 70°, by angle:
2θ (°)	I/Imax
24.09	38
26.36	17
30.58	100
32.99	62
40.80	20
42.71	31
47.35	29
52.78	11
53.05	16
57.43	35

=====

# 4
Starting from the GGA-PBE geometry in Alexandria, the PXRD pattern of Pm4NdOs2 was simulated for Cu Ka.
Intensities are scaled so that the largest is 100.

Crystal structure
```
data_Pm4NdOs2
_chemical_formula_sum 'Pm8 Nd2 Os4'
_space_group_name_H-M_alt 'P 1'
_space_group_IT_number 1
_space_group_name_Hall 'P 1'
_cell_length_a 8.0020
_cell_length_b 6.5724
_cell_length_c 8.0326
_cell_angle_alpha 90.00
_cell_angle_beta 112.49
_cell_angle_gamma 90.00
loop_
_atom_site_label
_atom_site_fract_x
_atom_site_fract_y
_atom_site_fract_z
_atom_site_occupancy
Pm1 0.1230 0.2500 0.4795 1
Pm2 0.1769 0.7500 0.2545 1
Pm3 0.2589 0.5022 0.9172 1
Pm4 0.2589 0.9978 0.9172 1
Pm5 0.7411 0.0022 0.0828 1
Pm6 0.7411 0.4978 0.0828 1
Pm7 0.8231 0.2500 0.7455 1
Pm8 0.8770 0.7500 0.5205 1
Nd1 0.4728 0.2500 0.3413 1
Nd2 0.5272 0.7500 0.6587 1
Os1 0.0902 0.2500 0.1251 1
Os2 0.4795 0.2500 0.7570 1
Os3 0.5205 0.7500 0.2430 1
Os4 0.9098 0.7500 0.8749 1
```

Principal peaks in the range 2θ from 5° to 70°, by angle:
2θ (°)	I/Imax
27.14	46
30.06	42
30.32	52
30.85	66
33.51	37
33.77	46
35.17	36
35.43	100
36.57	83
38.90	40